For Ce2TiGe3Rh4, a DFT-relaxed cell (GGA-PBE, Alexandria) gives the calculated XRD peak list in this record (Cu Ka).
Intensities are scaled so that the largest is 100.

Largest 10 diffraction maxima, low angle first, 5° ≤ 2θ ≤ 70°:
| 2θ (°) | intensity | (hkl) |
| --- | --- | --- |
| 30.47 | 16 | 1 1 0 |
| 33.23 | 62 | 1 0 3 |
| 34.93 | 100 | 1 1 2 |
| 43.64 | 59 | 2 0 0 |
| 46.05 | 17 | 1 1 4 |
| 48.04 | 33 | 1 0 5 |
| 55.93 | 28 | 2 1 3 |
| 61.04 | 10 | 1 1 6 |
| 63.42 | 19 | 2 2 0 |
| 66.90 | 24 | 2 1 5 |

Atomic structure:
Cell: 4.1483 4.1483 10.6445 Å, 90.00 90.00 90.00°
Element x y z (fractional)
Ce (0.0000, 0.5000, 0.2466)
Ce (0.5000, 0.0000, 0.7534)
Ti (0.0000, 0.0000, 0.5000)
Ge (0.0000, 0.5000, 0.8715)
Ge (0.5000, 0.0000, 0.1285)
Ge (0.5000, 0.5000, 0.5000)
Rh (0.0000, 0.0000, 0.0000)
Rh (0.0000, 0.5000, 0.6394)
Rh (0.5000, 0.0000, 0.3606)
Rh (0.5000, 0.5000, 0.0000)